Calculated powder X-ray diffraction pattern
Compound: CoCuCO5
Radiation: CuKα
Structure: a DFT-relaxed cell (PBE+U, the Materials Project)
Lines closer than 0.1° are merged.

Crystal structure
```
data_CoCuCO5
_space_group_name_H-M_alt 'P -1'
_space_group_IT_number 2
_cell_length_a 2.979
_cell_length_b 9.140
_cell_length_c 11.888
_cell_angle_alpha 89.98
_cell_angle_beta 84.38
_cell_angle_gamma 89.46
loop_
_space_group_symop_operation_xyz
'x,y,z'
'-x,-y,-z'
loop_
_atom_site_label
_atom_site_type_symbol
_atom_site_fract_x
_atom_site_fract_y
_atom_site_fract_z
Co1 Co 0.085 0.230 0.121
Co2 Co 0.091 0.263 0.621
Cu1 Cu 0.486 0.504 0.781
Cu2 Cu 0.488 0.999 0.291
C1 C 0.112 0.270 0.379
C2 C 0.115 0.234 0.866
O1 O 0.069 0.128 0.376
O2 O 0.079 0.376 0.866
O3 O 0.104 0.165 0.766
O4 O 0.114 0.341 0.282
O5 O 0.127 0.342 0.470
O6 O 0.134 0.158 0.953
O7 O 0.396 0.863 0.411
O8 O 0.408 0.636 0.905
O9 O 0.432 0.890 0.840
O10 O 0.434 0.612 0.347
```

Peak list (8 most intense, 5 to 70 degrees two-theta, low angle first)
d/Å, Position (°2θ), I (rel.), (hkl)
5.915, 14.98, 100.0, 0 0 2
4.966, 17.86, 86.4, 0 1 -2
3.617, 24.61, 97.7, 0 2 2
2.761, 32.43, 20.5, 1 0 2
2.498, 35.95, 60.2, 1 2 0
2.484, 36.17, 29.8, 0 2 -4
2.479, 36.24, 94.4, 1 -2 0
2.354, 38.23, 21.2, 1 -2 2